Theoretical powder XRD pattern of La2Tb2NdY6 for a wavelength of 1.5418 Å, from a PBE-relaxed structure.
Kinematic intensities with the Lorentz-polarization factor, no thermal factor.

Top 10 peaks for 10 to 80 degrees two-theta, sorted by position:
hkl 0 4 1, 30.55°, I = 33.0; hkl 1 1 3, 30.69°, I = 41.9; hkl 2 0 0, 31.04°, I = 44.7; hkl 1 3 2, 31.86°, I = 100.0; hkl 0 0 4, 34.02°, I = 16.9; hkl 2 4 1, 44.11°, I = 24.0; hkl 0 4 5, 52.80°, I = 14.1; hkl 3 3 2, 55.74°, I = 20.0; hkl 1 7 3, 61.60°, I = 18.7; hkl 2 4 5, 62.53°, I = 16.7

Cell and atoms:
Unit cell a=5.7620 b=12.1851 c=10.5423 alpha=90.00 beta=90.00 gamma=90.00
Space group Cmmm (No. 65)
Inequivalent atoms, fractional coordinates:
1 La 0.0000 0.2115 0.0000
2 Tb 0.0000 0.1301 0.5000
3 Nd 0.0000 0.5000 0.0000
4 Y 0.0000 0.0000 0.2080
5 Y 0.0000 0.3502 0.3056